(1)
Computed powder diffractogram
Compound: Dy4MgRh
Radiation: CuKα
Structure: DFT lattice parameters and positions (GGA-PBE)

Top 10 peaks for 10° ≤ 2θ ≤ 90°, low angle first:
2θ = 11.18°, rel. 22; 2θ = 28.37°, rel. 45; 2θ = 31.97°, rel. 56; 2θ = 33.97°, rel. 100; 2θ = 37.09°, rel. 32; 2θ = 54.80°, rel. 15; 2θ = 56.99°, rel. 52; 2θ = 58.27°, rel. 15; 2θ = 85.94°, rel. 16; 2θ = 87.76°, rel. 16

Cell and atoms:
```
24
Lattice="0.000 6.856 6.856 6.856 0.000 6.856 6.856 6.856 0.000" Properties=species:S:1:pos:R:3 pbc="T T T"
Dy 3.428 3.428 0.854
Dy 3.428 0.854 3.428
Dy 6.002 3.428 3.428
Dy 6.856 6.856 2.542
Dy 6.856 2.542 6.856
Dy 11.171 6.856 6.856
Dy 8.184 5.529 5.529
Dy 0.854 3.428 3.428
Dy 3.428 6.002 3.428
Dy 3.428 3.428 6.002
Dy 5.529 8.184 5.529
Dy 5.529 5.529 8.184
Dy 8.184 8.184 8.184
Dy 2.542 6.856 6.856
Dy 6.856 11.171 6.856
Dy 6.856 6.856 11.171
Mg 11.377 9.192 9.192
Mg 9.192 11.377 9.192
Mg 9.192 9.192 11.377
Mg 11.377 11.377 11.377
Rh 5.373 5.373 5.373
Rh 8.340 8.340 5.373
Rh 8.340 5.373 8.340
Rh 5.373 8.340 8.340
```

---

(2)
Computed powder diffractogram
Compound: DyMgS3
Radiation: CuKα
Structure: DFT lattice parameters and positions (GGA-PBE)

Top 10 peaks for 10° ≤ 2θ ≤ 90°, low angle first:
2θ = 15.49°, rel. 73; 2θ = 16.19°, rel. 100; 2θ = 25.96°, rel. 21; 2θ = 27.42°, rel. 40; 2θ = 30.87°, rel. 26; 2θ = 34.26°, rel. 22; 2θ = 34.49°, rel. 30; 2θ = 35.82°, rel. 31; 2θ = 42.05°, rel. 31; 2θ = 44.33°, rel. 21

Cell and atoms:
```
10
Lattice="3.892 -5.720 0.000 3.892 5.720 0.000 -3.417 0.000 5.839" Properties=species:S:1:pos:R:3 pbc="T T T"
Dy 0.855 0.000 1.453
Dy 3.511 0.000 4.386
Mg 3.892 1.845 0.000
Mg 3.892 -1.845 0.000
S 2.799 3.986 0.893
S 1.567 3.986 4.947
S 0.825 0.000 4.142
S 3.542 0.000 1.697
S 2.799 -3.986 0.893
S 1.567 -3.986 4.947
```

---

(3)
Computed powder diffractogram
Compound: DyMgS3
Radiation: CuKα
Structure: DFT lattice parameters and positions (GGA-PBE)

Top 10 peaks for 10° ≤ 2θ ≤ 90°, low angle first:
2θ = 14.66°, rel. 57; 2θ = 16.09°, rel. 49; 2θ = 18.20°, rel. 41; 2θ = 24.96°, rel. 57; 2θ = 26.70°, rel. 52; 2θ = 30.59°, rel. 100; 2θ = 36.88°, rel. 29; 2θ = 40.26°, rel. 85; 2θ = 46.11°, rel. 27; 2θ = 47.15°, rel. 52

Cell and atoms:
```
10
Lattice="3.338 1.927 6.043 -3.338 1.927 6.043 0.000 -3.855 6.043" Properties=species:S:1:pos:R:3 pbc="T T T"
Dy 0.000 0.000 2.789
Dy 0.000 0.000 15.341
Mg 0.000 0.000 6.269
Mg 0.000 0.000 11.861
S -1.269 -1.871 7.499
S -2.254 0.163 10.632
S -0.986 2.034 7.499
S 0.986 -2.034 10.632
S 2.254 -0.163 7.499
S 1.269 1.871 10.632
```

---

(4)
Computed powder diffractogram
Compound: DyMgTiS4
Radiation: CuKα
Structure: DFT lattice parameters and positions (GGA-PBE)

Top 10 peaks for 10° ≤ 2θ ≤ 90°, low angle first:
2θ = 14.46°, rel. 100; 2θ = 16.48°, rel. 22; 2θ = 23.89°, rel. 15; 2θ = 27.23°, rel. 72; 2θ = 27.61°, rel. 37; 2θ = 33.35°, rel. 99; 2θ = 36.20°, rel. 23; 2θ = 44.12°, rel. 20; 2θ = 46.88°, rel. 16; 2θ = 47.87°, rel. 60

Cell and atoms:
```
14
Lattice="6.540 -3.876 0.000 6.540 3.876 0.000 -4.239 0.000 6.127" Properties=species:S:1:pos:R:3 pbc="T T T"
Dy 3.270 1.938 0.000
Dy 3.270 -1.938 0.000
Mg 0.030 0.000 2.286
Mg 8.811 0.000 3.840
Ti 6.540 0.000 0.000
Ti 4.420 0.000 3.063
S 2.372 0.000 1.637
S 0.245 0.000 4.711
S 3.336 1.736 4.578
S 5.504 1.736 1.549
S 3.336 -1.736 4.578
S 5.504 -1.736 1.549
S 8.595 0.000 1.415
S 6.469 0.000 4.490
```

---

(5)
Computed powder diffractogram
Compound: Dy3Mg2TiS8
Radiation: CuKα
Structure: DFT lattice parameters and positions (GGA-PBE)

Top 10 peaks for 10° ≤ 2θ ≤ 90°, low angle first:
2θ = 13.90°, rel. 56; 2θ = 14.17°, rel. 63; 2θ = 26.76°, rel. 69; 2θ = 26.90°, rel. 33; 2θ = 28.02°, rel. 18; 2θ = 32.63°, rel. 100; 2θ = 35.73°, rel. 25; 2θ = 46.45°, rel. 46; 2θ = 47.16°, rel. 44; 2θ = 48.80°, rel. 22

Cell and atoms:
```
14
Lattice="3.910 2.257 6.249 -3.910 2.257 6.249 0.000 -4.514 6.249" Properties=species:S:1:pos:R:3 pbc="T T T"
Dy -1.955 -1.129 6.249
Dy -1.955 1.129 12.499
Dy 0.000 2.257 6.249
Mg 0.000 0.000 2.335
Mg 0.000 0.000 16.414
Ti 0.000 0.000 9.374
S 0.000 0.000 4.771
S 0.000 -2.099 7.909
S -1.818 1.049 7.909
S -1.818 -1.049 10.839
S 1.818 1.049 7.909
S 1.818 -1.049 10.839
S 0.000 2.099 10.839
S 0.000 0.000 13.977
```

---

(6)
Computed powder diffractogram
Compound: Dy3Mg2VS8
Radiation: CuKα
Structure: DFT lattice parameters and positions (GGA-PBE)

Top 10 peaks for 10° ≤ 2θ ≤ 90°, low angle first:
2θ = 13.89°, rel. 58; 2θ = 14.15°, rel. 61; 2θ = 26.73°, rel. 68; 2θ = 26.87°, rel. 33; 2θ = 27.14°, rel. 18; 2θ = 27.99°, rel. 19; 2θ = 32.59°, rel. 100; 2θ = 35.69°, rel. 25; 2θ = 46.42°, rel. 46; 2θ = 47.06°, rel. 29

Cell and atoms:
```
14
Lattice="6.663 -3.912 0.000 6.663 3.912 0.000 -4.343 0.000 6.368" Properties=species:S:1:pos:R:3 pbc="T T T"
Dy 0.000 0.000 0.000
Dy 1.160 1.956 3.184
Dy 1.160 -1.956 3.184
Mg 4.458 0.000 0.793
Mg 4.525 0.000 5.576
V -2.171 0.000 3.184
S 3.481 2.109 4.656
S 5.502 2.109 1.712
S -0.083 0.000 4.651
S 2.171 0.000 1.619
S 6.812 0.000 4.749
S 9.066 0.000 1.718
S 3.481 -2.109 4.656
S 5.502 -2.109 1.712
```

---

(7)
Computed powder diffractogram
Compound: DyMgWS4
Radiation: CuKα
Structure: DFT lattice parameters and positions (GGA-PBE)

Top 10 peaks for 10° ≤ 2θ ≤ 90°, low angle first:
2θ = 14.24°, rel. 100; 2θ = 27.39°, rel. 26; 2θ = 27.53°, rel. 59; 2θ = 28.63°, rel. 16; 2θ = 28.83°, rel. 15; 2θ = 33.30°, rel. 73; 2θ = 43.57°, rel. 16; 2θ = 43.76°, rel. 18; 2θ = 47.83°, rel. 42; 2θ = 50.21°, rel. 12

Cell and atoms:
```
14
Lattice="-3.790 3.829 5.371 3.790 -3.829 5.371 3.790 3.829 -5.371" Properties=species:S:1:pos:R:3 pbc="T T T"
Dy 0.000 0.000 0.000
Dy 0.000 3.829 0.000
Mg 3.790 1.914 1.355
Mg 0.000 1.914 4.017
W 1.895 1.914 -2.686
W 1.895 -1.914 2.686
S 3.790 -0.232 2.640
S 3.790 3.597 -2.640
S 1.897 1.914 -0.186
S 5.683 1.914 -0.186
S -1.893 1.914 5.557
S 1.893 1.914 5.557
S 0.000 0.232 8.012
S 0.000 4.060 2.731
```

---

(8)
Computed powder diffractogram
Compound: Dy2MgSe4
Radiation: CuKα
Structure: DFT lattice parameters and positions (GGA-PBE)

Top 10 peaks for 10° ≤ 2θ ≤ 90°, low angle first:
2θ = 14.92°, rel. 19; 2θ = 18.70°, rel. 21; 2θ = 23.98°, rel. 56; 2θ = 29.80°, rel. 47; 2θ = 31.11°, rel. 100; 2θ = 33.23°, rel. 79; 2θ = 41.16°, rel. 46; 2θ = 43.30°, rel. 32; 2θ = 45.90°, rel. 74; 2θ = 66.94°, rel. 27

Cell and atoms:
```
56
Lattice="13.230 0.000 0.000 0.000 7.901 0.000 0.000 0.000 13.453" Properties=species:S:1:pos:R:3 pbc="T T T"
Dy 1.426 0.932 0.000
Dy 1.691 4.893 8.614
Dy 1.760 2.938 4.097
Dy 1.761 6.885 4.104
Dy 4.855 2.938 10.823
Dy 4.854 6.885 10.831
Dy 4.924 4.893 1.888
Dy 5.189 0.932 6.727
Dy 8.041 6.969 0.000
Dy 8.307 3.008 8.614
Dy 8.376 1.016 4.104
Dy 8.375 4.963 4.097
Dy 11.469 1.016 10.831
Dy 11.470 4.963 10.823
Dy 11.539 3.008 1.888
Dy 11.804 6.969 6.727
Mg 1.464 4.889 0.059
Mg 1.674 0.966 8.544
Mg 4.941 0.966 1.817
Mg 5.151 4.889 6.785
Mg 8.080 3.012 0.059
Mg 8.289 6.935 8.544
Mg 11.556 6.935 1.817
Mg 11.766 3.012 6.785
Se 0.171 0.971 2.581
Se 0.279 4.957 2.458
Se 0.459 4.925 5.974
Se 0.555 1.010 6.058
Se 2.801 0.955 10.994
Se 2.808 4.904 11.204
Se 3.045 2.915 1.246
Se 3.062 6.897 1.239
Se 3.553 6.897 7.965
Se 3.570 2.915 7.972
Se 3.815 0.955 4.268
Se 3.807 4.904 4.477
Se 6.060 1.010 12.785
Se 6.157 4.925 12.700
Se 6.337 4.957 9.185
Se 6.444 0.971 9.307
Se 6.786 6.930 2.581
Se 6.894 2.944 2.458
Se 7.074 2.975 5.974
Se 7.170 6.890 6.058
Se 9.423 2.997 11.204
Se 9.416 6.946 10.994
Se 9.660 4.986 1.246
Se 9.678 1.004 1.239
Se 10.168 1.004 7.965
Se 10.186 4.986 7.972
Se 10.423 2.997 4.477
Se 10.430 6.946 4.268
Se 12.676 6.890 12.785
Se 12.772 2.975 12.700
Se 12.952 2.944 9.185
Se 13.059 6.930 9.307
```

---

(9)
Computed powder diffractogram
Compound: Dy2MgSe4
Radiation: CuKα
Structure: DFT lattice parameters and positions (GGA-PBE)

Top 10 peaks for 10° ≤ 2θ ≤ 90°, low angle first:
2θ = 14.25°, rel. 76; 2θ = 23.26°, rel. 50; 2θ = 25.98°, rel. 100; 2θ = 28.74°, rel. 66; 2θ = 30.84°, rel. 60; 2θ = 32.79°, rel. 88; 2θ = 39.65°, rel. 43; 2θ = 40.30°, rel. 44; 2θ = 45.12°, rel. 41; 2θ = 45.23°, rel. 37

Cell and atoms:
```
28
Lattice="13.158 0.000 0.000 0.000 4.018 0.000 0.000 0.000 14.097" Properties=species:S:1:pos:R:3 pbc="T T T"
Dy 1.521 1.005 1.040
Dy 1.879 1.005 9.910
Dy 4.700 3.014 2.861
Dy 5.058 3.014 8.088
Dy 8.100 1.005 6.009
Dy 8.459 1.005 11.236
Dy 11.279 3.014 4.188
Dy 11.637 3.014 13.057
Mg 1.461 3.014 6.395
Mg 5.119 1.005 13.444
Mg 8.040 3.014 0.653
Mg 11.698 1.005 7.702
Se 0.117 3.014 8.702
Se 0.375 1.005 12.418
Se 2.911 1.005 3.510
Se 3.163 1.005 7.241
Se 3.417 3.014 0.192
Se 3.668 3.014 10.559
Se 6.204 3.014 5.369
Se 6.462 1.005 1.654
Se 6.696 3.014 12.444
Se 6.954 1.005 8.728
Se 9.491 1.005 3.539
Se 9.742 1.005 13.905
Se 9.996 3.014 6.856
Se 10.247 3.014 10.587
Se 12.783 3.014 1.679
Se 13.041 1.005 5.395
```

---

(10)
Computed powder diffractogram
Compound: Dy2MgSe4
Radiation: CuKα
Structure: DFT lattice parameters and positions (GGA-PBE)

Top 10 peaks for 10° ≤ 2θ ≤ 90°, low angle first:
2θ = 19.56°, rel. 85; 2θ = 23.81°, rel. 29; 2θ = 24.15°, rel. 100; 2θ = 25.27°, rel. 34; 2θ = 29.57°, rel. 64; 2θ = 33.96°, rel. 29; 2θ = 41.66°, rel. 42; 2θ = 41.80°, rel. 83; 2θ = 44.76°, rel. 56; 2θ = 44.90°, rel. 27

Cell and atoms:
```
28
Lattice="7.479 0.000 0.000 0.003 8.673 0.000 1.311 2.211 13.615" Properties=species:S:1:pos:R:3 pbc="T T T"
Dy 1.248 4.296 2.728
Dy 1.252 8.726 2.684
Dy 2.589 2.201 6.799
Dy 3.776 4.375 10.907
Dy 5.018 6.509 2.708
Dy 6.204 8.683 6.816
Dy 7.542 2.158 10.931
Dy 7.545 6.587 10.887
Mg 2.540 6.518 6.853
Mg 3.794 8.706 10.854
Mg 4.999 2.177 2.761
Mg 6.253 4.366 6.762
Se 1.241 4.409 5.427
Se 1.309 8.647 5.394
Se 2.598 6.632 11.888
Se 2.606 2.115 11.896
Se 2.482 6.506 1.667
Se 2.622 2.179 1.708
Se 3.736 8.664 8.282
Se 3.826 4.411 8.204
Se 4.967 6.473 5.411
Se 5.058 2.220 5.332
Se 6.172 8.705 11.907
Se 6.311 4.378 11.948
Se 6.187 8.769 1.719
Se 6.196 4.252 1.727
Se 7.484 2.236 8.221
Se 7.552 6.474 8.188
```